No. 1
Starting from DFT lattice parameters and positions (PBE+U), the X-ray powder pattern of NaFe2Mo2O10 was simulated for Cu Kα.
Neutral-atom scattering factors, no anomalous dispersion.

Structure:
```
15
Lattice="4.975 -3.015 0.000 4.975 3.015 0.000 -3.658 0.000 7.176" Properties=species:S:1:pos:R:3 pbc="T T T"
Na 0.000 0.000 0.000
Fe 0.659 1.508 3.588
Fe 0.659 -1.508 3.588
Mo 3.390 0.000 1.622
Mo 2.902 0.000 5.554
O -0.283 0.000 4.128
O 1.820 1.431 5.371
O 2.742 0.000 0.012
O 4.473 1.431 1.804
O 1.908 0.000 2.811
O 4.384 0.000 4.364
O 1.820 -1.431 5.371
O 3.550 0.000 7.163
O 4.473 -1.431 1.804
O 6.576 0.000 3.048
```

Most intense lines, 2θ = 10–90°, sorted by position:
2θ 12.34, I = 35; 2θ 17.79, I = 100; 2θ 18.90, I = 24; 2θ 23.79, I = 89; 2θ 26.65, I = 66; 2θ 28.06, I = 60; 2θ 30.79, I = 51; 2θ 34.95, I = 59; 2θ 38.81, I = 23; 2θ 51.45, I = 43

No. 2
Starting from DFT lattice parameters and positions (PBE+U), the X-ray powder pattern of MgV4O6F4 was simulated for Cu Kα.
Neutral-atom scattering factors, no anomalous dispersion.

Structure:
```
15
Lattice="4.911 0.000 0.000 -0.222 5.430 0.000 -2.431 -1.364 6.402" Properties=species:S:1:pos:R:3 pbc="T T T"
Mg 0.000 0.000 0.000
V -0.136 3.241 1.722
V -0.056 -0.508 4.121
V 2.431 0.422 1.775
V 2.310 2.255 4.013
O -1.822 3.773 4.645
O 1.139 4.348 1.067
O 0.663 3.267 3.446
O 1.495 0.615 3.589
O 3.208 2.205 2.271
O 3.806 4.888 2.228
F -1.069 1.098 4.722
F 0.748 1.523 1.032
F 0.691 -0.670 6.156
F 1.583 2.163 6.076
```

Most intense lines, 2θ = 10–90°, sorted by position:
2θ 13.83, I = 64; 2θ 24.21, I = 93; 2θ 25.18, I = 100; 2θ 27.87, I = 40; 2θ 29.74, I = 93; 2θ 30.47, I = 83; 2θ 34.34, I = 40; 2θ 39.81, I = 41; 2θ 41.17, I = 54; 2θ 42.35, I = 58

No. 3
Starting from DFT lattice parameters and positions (PBE+U), the X-ray powder pattern of Li9Mn2Co5O16 was simulated for Cu Kα.
Neutral-atom scattering factors, no anomalous dispersion.

Structure:
```
32
Lattice="5.117 0.000 0.000 0.000 5.810 0.000 -1.561 0.000 9.656" Properties=species:S:1:pos:R:3 pbc="T T T"
Li 0.000 0.000 0.000
Li 0.864 1.415 2.261
Li 0.864 4.394 2.261
Li 0.069 0.000 7.378
Li 0.140 2.905 7.338
Li 3.416 2.905 2.317
Li 3.487 0.000 2.278
Li 2.693 1.415 7.395
Li 2.693 4.394 7.395
Mn 1.778 0.000 4.828
Mn 1.778 2.905 4.828
Co -0.780 1.424 4.828
Co 0.000 2.905 0.000
Co -0.780 4.385 4.828
Co 2.558 1.414 0.000
Co 2.558 4.396 0.000
O -0.089 0.000 3.696
O 0.074 2.905 3.825
O -0.679 1.567 8.592
O -0.679 4.243 8.592
O 1.598 2.905 1.082
O 1.819 0.000 1.159
O 1.059 1.481 5.934
O 1.059 4.329 5.934
O 2.497 1.481 3.721
O 2.497 4.329 3.721
O 1.738 0.000 8.496
O 1.958 2.905 8.573
O 4.235 1.567 1.063
O 4.235 4.243 1.063
O 3.482 2.905 5.830
O 3.645 0.000 5.960
```

Most intense lines, 2θ = 10–90°, sorted by position:
2θ 18.38, I = 100; 2θ 35.55, I = 15; 2θ 36.14, I = 26; 2θ 37.63, I = 8; 2θ 42.98, I = 28; 2θ 43.85, I = 53; 2θ 47.59, I = 9; 2θ 57.81, I = 10; 2θ 62.94, I = 15; 2θ 63.23, I = 15

No. 4
Starting from DFT lattice parameters and positions (PBE+U), the X-ray powder pattern of Sr2CrCu2O7 was simulated for Cu Kα.
Neutral-atom scattering factors, no anomalous dispersion.

Structure:
```
24
Lattice="-12.536 2.655 2.581 12.536 -2.655 2.581 12.536 2.655 -2.581" Properties=species:S:1:pos:R:3 pbc="T T T"
Sr 3.641 0.046 0.000
Sr 8.895 0.046 0.000
Sr 3.641 2.609 2.581
Sr 8.895 2.609 2.581
Cr 6.268 -0.363 2.229
Cr 6.268 3.018 -0.352
Cu 1.531 -0.012 2.591
Cu 11.006 -0.012 2.591
Cu 1.531 2.667 0.010
Cu 11.006 2.667 0.010
O 10.644 1.331 -1.282
O 14.489 1.327 -1.280
O 10.583 -1.328 1.300
O 14.428 -1.325 1.299
O 18.804 0.578 0.390
O 4.669 2.427 0.102
O 7.867 2.427 0.102
O 1.892 1.325 1.299
O 10.644 1.325 1.299
O -1.953 1.328 1.300
O 14.489 1.328 1.300
O 4.669 0.229 2.682
O 7.867 0.229 2.682
O -6.268 2.078 2.970
```

Most intense lines, 2θ = 10–90°, sorted by position:
2θ 14.13, I = 35; 2θ 25.09, I = 29; 2θ 28.00, I = 100; 2θ 32.31, I = 94; 2θ 33.75, I = 41; 2θ 34.76, I = 40; 2θ 35.81, I = 35; 2θ 37.61, I = 70; 2θ 49.24, I = 49; 2θ 50.77, I = 25

No. 5
Starting from DFT lattice parameters and positions (PBE+U), the X-ray powder pattern of Li2CrP4O12 was simulated for Cu Kα.
Neutral-atom scattering factors, no anomalous dispersion.

Structure:
```
38
Lattice="4.594 -7.155 0.000 4.594 7.155 0.000 -0.394 0.000 7.450" Properties=species:S:1:pos:R:3 pbc="T T T"
Li 1.408 2.272 1.397
Li 1.211 -2.272 5.122
Li 7.583 2.272 2.328
Li 7.387 -2.272 6.053
Cr 4.496 1.841 1.863
Cr 4.299 -1.841 5.588
P 3.449 4.716 2.882
P 2.894 1.123 6.083
P 5.542 4.716 0.843
P 3.091 -1.123 2.358
P 5.703 1.123 5.092
P 3.252 -4.716 6.607
P 5.900 -1.123 1.367
P 5.345 -4.716 4.569
O 3.934 4.892 4.285
O 3.113 3.317 2.386
O 4.496 5.401 1.863
O 2.000 1.475 4.784
O 2.429 1.883 7.287
O 4.663 4.892 6.891
O 3.177 0.378 2.423
O 2.196 -1.475 1.059
O 4.299 1.752 5.588
O 2.980 -0.378 6.148
O 5.878 3.317 1.339
O 2.626 -1.883 3.562
O 6.169 1.883 3.889
O 2.916 -3.317 6.111
O 5.814 0.378 1.302
O 4.496 -1.752 1.863
O 6.598 1.475 6.391
O 5.617 -0.378 5.027
O 4.131 -4.892 0.560
O 6.366 -1.883 0.163
O 6.795 -1.475 2.666
O 4.299 -5.401 5.588
O 5.681 -3.317 5.064
O 4.860 -4.892 3.165
```

Most intense lines, 2θ = 10–90°, sorted by position:
2θ 11.46, I = 99; 2θ 16.90, I = 82; 2θ 17.18, I = 40; 2θ 23.89, I = 44; 2θ 24.89, I = 75; 2θ 25.50, I = 100; 2θ 27.03, I = 41; 2θ 31.61, I = 31; 2θ 31.73, I = 68; 2θ 32.81, I = 28